# 1
Starting from DFT lattice parameters and positions (PBE), the PXRD pattern of Ac2CdAs4Pt3 was calculated for λ = 1.5418 Å (Cu Kα).

Largest 6 diffraction maxima, in order of falling intensity, 2θ = 15–90°:
two_theta  I/Imax
32.52  1000
39.22  432
51.81  264
66.89  194
56.67  149
27.46  141

Crystal structure
```
data_Ac2CdAs4Pt3
_symmetry_space_group_name_H-M 'P -4 m 2'
_symmetry_Int_Tables_number 115
_symmetry_space_group_name_Hall 'P -4 -2'
_cell_length_a 4.5941
_cell_length_b 4.5941
_cell_length_c 10.3382
_cell_angle_alpha 90.00
_cell_angle_beta 90.00
_cell_angle_gamma 90.00
loop_
_atom_site_label
_atom_site_type_symbol
_atom_site_fract_x
_atom_site_fract_y
_atom_site_fract_z
_atom_site_occupancy
Ac1 Ac 0.0000 0.5000 0.2400 1
Cd1 Cd 0.0000 0.0000 0.5000 1
As1 As 0.0000 0.0000 0.0000 1
As2 As 0.0000 0.5000 0.6429 1
As3 As 0.5000 0.5000 0.0000 1
Pt1 Pt 0.0000 0.5000 0.8884 1
Pt2 Pt 0.5000 0.5000 0.5000 1
```



# 2
Starting from DFT lattice parameters and positions (PBE), the PXRD pattern of AcCeAs was calculated for λ = 1.5418 Å (Cu Kα).

Largest 6 diffraction maxima, in order of falling intensity, 2θ = 15–90°:
two_theta  I/Imax
30.41  1000
30.00  734
35.14  490
30.80  414
30.65  399
33.70  337

Crystal structure
```
data_AcCeAs
_symmetry_space_group_name_H-M 'P 1 21/c 1'
_symmetry_Int_Tables_number 14
_symmetry_space_group_name_Hall '-P 2ybc'
_cell_length_a 9.1209
_cell_length_b 6.2248
_cell_length_c 6.6994
_cell_angle_alpha 90.00
_cell_angle_beta 101.57
_cell_angle_gamma 90.00
loop_
_atom_site_label
_atom_site_type_symbol
_atom_site_fract_x
_atom_site_fract_y
_atom_site_fract_z
_atom_site_occupancy
Ac1 Ac 0.0241 0.2406 0.3708 1
Ce1 Ce 0.3625 0.5157 0.7125 1
As1 As 0.3071 0.0130 0.6960 1
```



# 3
Starting from DFT lattice parameters and positions (PBE), the PXRD pattern of AcCeAs2O8 was calculated for λ = 1.5418 Å (Cu Kα).

Largest 6 diffraction maxima, in order of falling intensity, 2θ = 15–90°:
two_theta  I/Imax
23.62  1000
31.63  761
46.86  614
33.65  257
17.75  253
58.92  176

Crystal structure
```
data_AcCeAs2O8
_symmetry_space_group_name_H-M 'I -4 m 2'
_symmetry_Int_Tables_number 119
_symmetry_space_group_name_Hall 'I -4 -2'
_cell_length_a 7.5329
_cell_length_b 7.5329
_cell_length_c 6.6758
_cell_angle_alpha 90.00
_cell_angle_beta 90.00
_cell_angle_gamma 90.00
loop_
_atom_site_label
_atom_site_type_symbol
_atom_site_fract_x
_atom_site_fract_y
_atom_site_fract_z
_atom_site_occupancy
Ac1 Ac 0.0000 0.0000 0.0000 1
Ce1 Ce 0.0000 0.5000 0.2500 1
As1 As 0.0000 0.0000 0.5000 1
As2 As 0.0000 0.5000 0.7500 1
O1 O 0.0000 0.1799 0.3386 1
O2 O 0.0000 0.3266 0.9182 1
```



> What is the formula in the second record?

AcCeAs